(1)
This entry pairs a crystal structure of MgZnRe2O8 with its theoretical X-ray powder pattern. Radiation: a wavelength of 1.5418 Å. Structure: a crystal structure in the Materials Project, relaxed with GGA-PBE.
Peak positions follow from Bragg's law for the DFT cell and can differ from measured ones.

Most intense lines, 15° ≤ 2θ ≤ 90°, sorted by position:
h k l	2θ (°)	Rel. int.
0 1 1	23.4	100
1 1 0	30.7	52
1 0 2	35.8	25
2 0 1	39.0	13
0 2 2	47.9	16
3 -2 1	50.4	27
3 0 0	54.6	10
1 1 3	57.4	13
2 1 2	58.0	14
3 1 1	69.1	10

Atomic structure:
Cell: 5.8199 5.8199 5.7775 Å, 90.00 90.00 120.00°
Space group P-3 (No. 147)
Inequivalent atoms, fractional coordinates:
Mg (0.0000, 0.0000, 0.0000) [1 per cell]
Zn (0.0000, 0.0000, 0.5000) [1 per cell]
Re (0.3333, 0.6667, 0.8119) [2 per cell]
O (0.1551, 0.3124, 0.7451) [6 per cell]
O (0.3333, 0.6667, 0.1151) [2 per cell]

---

(2)
This entry pairs a crystal structure of La2CuN2F2 with its theoretical X-ray powder pattern. Radiation: a wavelength of 1.5418 Å. Structure: a crystal structure in the Materials Project, relaxed with GGA-PBE.
Peak positions follow from Bragg's law for the DFT cell and can differ from measured ones.

Most intense lines, 15° ≤ 2θ ≤ 90°, sorted by position:
h k l	2θ (°)	Rel. int.
1 0 1	23.0	48
1 0 3	30.2	100
1 1 0	31.3	53
1 0 5	41.1	50
1 1 4	42.0	44
2 0 0	44.8	42
2 1 3	55.0	36
2 1 5	62.5	28
1 1 8	65.9	13
2 0 8	74.7	17

Atomic structure:
Cell: 4.043 4.043 13.061 Å, 90.00 90.00 90.00°
Space group I4/mmm (No. 139)
Inequivalent atoms, fractional coordinates:
La (0.000, 0.000, 0.123) [4 per cell]
Cu (0.000, 0.000, 0.500) [2 per cell]
N (0.000, 0.500, 0.000) [4 per cell]
F (0.000, 0.500, 0.250) [4 per cell]

---

(3)
This entry pairs a crystal structure of La3CBr5 with its theoretical X-ray powder pattern. Radiation: a wavelength of 1.5418 Å. Structure: a crystal structure in the Materials Project, relaxed with GGA-PBE.
Peak positions follow from Bragg's law for the DFT cell and can differ from measured ones.

Most intense lines, 15° ≤ 2θ ≤ 90°, sorted by position:
h k l	2θ (°)	Rel. int.
3 1 -1	20.2	19
2 0 2	20.5	20
3 1 -2	21.4	19
4 0 -4	30.7	100
3 3 0	31.2	92
2 0 4	31.7	47
4 2 -3	31.9	18
1 3 -4	34.6	87
6 2 -1	41.4	15
2 0 -8	49.7	17

Atomic structure:
Cell: 14.398 10.988 14.690 Å, 90.00 106.80 90.00°
Space group C2/c (No. 15)
Inequivalent atoms, fractional coordinates:
La (0.141, 0.020, 0.406) [8 per cell]
La (0.149, 0.361, 0.174) [8 per cell]
La (0.153, 0.332, 0.913) [8 per cell]
C (0.247, 0.142, 0.921) [8 per cell]
Br (0.000, 0.140, 0.750) [4 per cell]
Br (0.000, 0.197, 0.250) [4 per cell]
Br (0.000, 0.477, 0.750) [4 per cell]
Br (0.000, 0.500, 0.000) [4 per cell]
Br (0.041, 0.160, 0.018) [8 per cell]
Br (0.229, 0.393, 0.408) [8 per cell]
Br (0.241, 0.378, 0.728) [8 per cell]

---

(4)
This entry pairs a crystal structure of RbHfMg6 with its theoretical X-ray powder pattern. Radiation: a wavelength of 1.5418 Å. Structure: a crystal structure in the Materials Project, relaxed with GGA-PBE.
Peak positions follow from Bragg's law for the DFT cell and can differ from measured ones.

Most intense lines, 15° ≤ 2θ ≤ 90°, sorted by position:
h k l	2θ (°)	Rel. int.
0 0 2	15.1	29
0 1 1	15.2	51
1 0 2	22.7	41
1 1 1	22.8	85
0 1 3	26.3	38
0 2 2	30.7	32
2 0 0	34.2	38
1 0 4	35.0	58
1 2 2	35.3	100
0 2 6	54.2	24

Atomic structure:
Cell: 5.245 6.696 11.766 Å, 90.00 90.00 90.00°
Space group Amm2 (No. 38)
Inequivalent atoms, fractional coordinates:
Rb (0.000, 0.000, 0.000) [2 per cell]
Hf (0.500, 0.000, 0.658) [2 per cell]
Mg (0.000, 0.000, 0.502) [2 per cell]
Mg (0.000, 0.233, 0.743) [4 per cell]
Mg (0.500, 0.000, 0.174) [2 per cell]
Mg (0.500, 0.236, 0.401) [4 per cell]